Structure and simulated powder XRD pattern of Mn2Be2CrO6 (a DFT-relaxed cell (GGA+U, Alexandria); Cu Kα (λ = 1.5418 Å)).

Structure:
Cell lengths 4.8508, 4.8508, 4.7446 Å; angles 90.00, 90.00, 120.00 degrees
Space group P-31m (No. 162)
Inequivalent atoms, fractional coordinates:
Mn (0.3333, 0.6667, 0.0000)
Be (0.3333, 0.6667, 0.5000)
Cr (0.0000, 0.0000, 0.5000)
O (0.0000, 0.3578, 0.7218)

Main lines, sorted by position (2θ from 5° to 70°):
d (Å)  I (rel.)  (hkl)
4.201  3  1 0 0
3.145  100  1 0 1
2.425  38  1 1 0
2.372  5  0 0 2
2.160  30  1 1 1
1.921  24  2 0 1
1.696  67  2 -1 2
1.506  20  2 1 1
1.480  10  1 0 3
1.400  22  3 0 0